1.
Simulated PXRD pattern of V2NiP2O10 for Cu Ka, from a GGA+U-relaxed structure.

Crystal structure
Cell: 6.423 7.418 7.390 Å, 90.00 90.12 90.00°
Space group P2_1/c (No. 14)
Symmetry-distinct sites (fractional):
V 0.245 0.221 0.166 (multiplicity 4)
Ni 0.500 0.000 0.500 (multiplicity 2)
P 0.250 0.622 0.372 (multiplicity 4)
O 0.054 0.740 0.354 (multiplicity 4)
O 0.245 0.510 0.546 (multiplicity 4)
O 0.273 0.164 0.390 (multiplicity 4)
O 0.279 0.005 0.705 (multiplicity 4)
O 0.438 0.746 0.876 (multiplicity 4)

The 10 most intense peaks (10 to 90 degrees two-theta), low angle first:
- d = 6.423 Å, intensity 34, hkl 1 0 0
- d = 4.855 Å, intensity 24, hkl 1 1 0
- d = 4.056 Å, intensity 54, hkl 1 1 1
- d = 3.309 Å, intensity 100, hkl 0 1 2
- d = 3.211 Å, intensity 44, hkl 2 0 0
- d = 2.737 Å, intensity 42, hkl 2 1 1
- d = 2.618 Å, intensity 19, hkl 0 2 2
- d = 2.307 Å, intensity 29, hkl 1 3 0
- d = 2.056 Å, intensity 18, hkl 3 1 0
- d = 1.605 Å, intensity 29, hkl 4 0 0

2.
Simulated PXRD pattern of VNiP2O9 for Cu Ka, from a GGA+U-relaxed structure.

Crystal structure
Cell: 13.928 6.276 7.817 Å, 90.00 90.00 90.00°
Space group Pnma (No. 62)
Symmetry-distinct sites (fractional):
V 0.119 0.250 0.155 (multiplicity 4)
Ni 0.000 0.000 0.500 (multiplicity 4)
P 0.060 0.750 0.151 (multiplicity 4)
P 0.190 0.750 0.610 (multiplicity 4)
O 0.019 0.250 0.987 (multiplicity 4)
O 0.019 0.750 0.334 (multiplicity 4)
O 0.056 0.250 0.341 (multiplicity 4)
O 0.124 0.551 0.128 (multiplicity 8)
O 0.128 0.548 0.607 (multiplicity 8)
O 0.232 0.250 0.967 (multiplicity 4)
O 0.241 0.250 0.271 (multiplicity 4)

The 10 most intense peaks (10 to 90 degrees two-theta), low angle first:
- d = 6.964 Å, intensity 100, hkl 2 0 0
- d = 6.817 Å, intensity 36, hkl 1 0 1
- d = 5.200 Å, intensity 66, hkl 2 0 1
- d = 4.894 Å, intensity 31, hkl 0 1 1
- d = 4.617 Å, intensity 63, hkl 1 1 1
- d = 4.000 Å, intensity 64, hkl 3 0 1
- d = 3.763 Å, intensity 76, hkl 1 0 2
- d = 2.990 Å, intensity 32, hkl 3 0 2
- d = 2.851 Å, intensity 65, hkl 1 2 1
- d = 1.705 Å, intensity 29, hkl 4 0 4